MoPO4: computed powder diffraction line list (Cu Kα X-rays), based on a DFT-relaxed cell (PBE+U, the Materials Project).

Principal peaks in the range 2θ from 5° to 70°, in order of rising 2θ:
| two_theta | I_rel | index |
| --- | --- | --- |
| 11.62 | 100 | 2 0 -2 |
| 12.35 | 77 | 0 0 2 |
| 17.82 | 50 | 1 1 -1 |
| 22.27 | 56 | 3 1 -1 |
| 26.68 | 57 | 3 1 1 |
| 29.73 | 58 | 5 1 -3 |

Atomic structure:
```
data_MoPO4
_cell_length_a 18.6102
_cell_length_b 5.2619
_cell_length_c 16.6912
_cell_angle_alpha 90.00
_cell_angle_beta 120.78
_cell_angle_gamma 90.00
_symmetry_space_group_name_H-M 'C 1 2/c 1'
_symmetry_Int_Tables_number 15
loop_
_symmetry_equiv_pos_as_xyz
'x,y,z'
'-x,-y,-z'
'-x,y,-z+1/2'
'x,-y,z+1/2'
'x+1/2,y+1/2,z'
'-x+1/2,-y+1/2,-z'
'-x+1/2,y+1/2,-z+1/2'
'x+1/2,-y+1/2,z+1/2'
loop_
_atom_site_label
_atom_site_fract_x
_atom_site_fract_y
_atom_site_fract_z
Mo1 0.0000 0.1859 0.2500
Mo2 0.1096 0.2291 0.4857
Mo3 0.2500 0.2500 0.0000
P1 0.0133 0.2719 0.6188
P2 0.2126 0.2311 0.3596
O1 0.0068 0.4435 0.3662
O2 0.0484 0.1186 0.7093
O3 0.0728 0.1538 0.9546
O4 0.0738 0.2827 0.5830
O5 0.1321 0.2089 0.3686
O6 0.1968 0.2502 0.2648
O7 0.2241 0.4888 0.5728
O8 0.2322 0.0396 0.5714
```

---

MoP2O7: computed powder diffraction line list (Cu Kα X-rays), based on a DFT-relaxed cell (PBE+U, the Materials Project).

Principal peaks in the range 2θ from 5° to 70°, in order of rising 2θ:
| two_theta | I_rel | index |
| --- | --- | --- |
| 15.04 | 100 | 0 1 1 |
| 17.00 | 98 | 1 1 -1 |
| 25.20 | 51 | 1 2 -1 |
| 28.75 | 69 | 2 1 -2 |
| 29.34 | 56 | 1 2 -2 |
| 29.84 | 84 | 1 0 2 |

Atomic structure:
```
data_MoP2O7
_cell_length_a 7.2203
_cell_length_b 8.3216
_cell_length_c 9.1842
_cell_angle_alpha 90.00
_cell_angle_beta 114.80
_cell_angle_gamma 90.00
_symmetry_space_group_name_H-M 'P 1 21/c 1'
_symmetry_Int_Tables_number 14
loop_
_symmetry_equiv_pos_as_xyz
'x,y,z'
'-x,-y,-z'
'-x,y+1/2,-z+1/2'
'x,-y+1/2,z+1/2'
loop_
_atom_site_label
_atom_site_fract_x
_atom_site_fract_y
_atom_site_fract_z
Mo1 0.2337 0.0894 0.1122
P1 0.0717 0.7311 0.7476
P2 0.4507 0.7367 0.0338
O1 0.0125 0.5814 0.6244
O2 0.0944 0.2474 0.6872
O3 0.1259 0.6230 0.1840
O4 0.2619 0.6490 0.8960
O5 0.3765 0.6063 0.5772
O6 0.3886 0.2306 0.0322
O7 0.4675 0.1110 0.3340
```

---

MoP2O7: computed powder diffraction line list (Cu Kα X-rays), based on a DFT-relaxed cell (PBE+U, the Materials Project).

Principal peaks in the range 2θ from 5° to 70°, in order of rising 2θ:
| two_theta | I_rel | index |
| --- | --- | --- |
| 17.42 | 100 | 1 1 0 |
| 21.98 | 45 | 0 2 0 |
| 24.00 | 45 | 1 1 -1 |
| 28.29 | 79 | 1 1 1 |
| 29.51 | 58 | 0 2 1 |
| 30.10 | 54 | 2 0 -1 |

Atomic structure:
```
data_MoP2O7
_cell_length_a 6.6962
_cell_length_b 8.0863
_cell_length_c 4.6663
_cell_angle_alpha 90.00
_cell_angle_beta 101.97
_cell_angle_gamma 90.00
_symmetry_space_group_name_H-M 'C 1 2 1'
_symmetry_Int_Tables_number 5
loop_
_symmetry_equiv_pos_as_xyz
'x,y,z'
'-x,y,-z'
'x+1/2,y+1/2,z'
'-x+1/2,y+1/2,-z'
loop_
_atom_site_label
_atom_site_fract_x
_atom_site_fract_y
_atom_site_fract_z
Mo1 0.0000 0.0000 0.0000
P1 0.1992 0.3482 0.4150
O1 0.0000 0.4303 0.5000
O2 0.1414 0.1802 0.2753
O3 0.1422 0.8297 0.2980
O4 0.2382 0.9728 0.7995
```